[1]
Ce2Cl2O: theoretical powder diffraction line list (Cu Kα (weighted mean of Kα1 and Kα2)), based on a DFT-relaxed cell (PBE, the Materials Project).
Peak positions follow from Bragg's law for the DFT cell and can differ from measured ones.

The 6 most intense peaks (5° ≤ 2θ ≤ 70°), sorted by position:
2θ = 6.82°, 12.965 Å, intensity 26
2θ = 15.39°, 5.759 Å, intensity 100
2θ = 21.82°, 4.072 Å, intensity 44
2θ = 25.79°, 3.454 Å, intensity 22
2θ = 31.06°, 2.880 Å, intensity 18
2θ = 34.83°, 2.576 Å, intensity 26

Structure:
```
Ce2Cl2O
1.0
5.759 0.000 0.000
0.000 5.759 0.000
0.000 0.000 12.965
Ce Cl O
2 2 1
Cartesian
0.000 0.000 2.093
0.000 0.000 10.872
0.000 0.000 4.674
0.000 0.000 8.291
0.000 0.000 0.000
```

---

[2]
Cu12As4S13: theoretical powder diffraction line list (Cu Kα (weighted mean of Kα1 and Kα2)), based on a DFT-relaxed cell (PBE, the Materials Project).
Peak positions follow from Bragg's law for the DFT cell and can differ from measured ones.

The 6 most intense peaks (5° ≤ 2θ ≤ 70°), sorted by position:
2θ = 30.22°, 2.958 Å, intensity 100
2θ = 30.55°, 2.926 Å, intensity 90
2θ = 35.23°, 2.547 Å, intensity 38
2θ = 50.26°, 1.815 Å, intensity 18
2θ = 50.67°, 1.802 Å, intensity 64
2θ = 59.97°, 1.543 Å, intensity 19

Structure:
```
Cu12As4S13
1.0
8.774 0.000 0.000
-2.858 8.304 0.000
-2.958 -4.148 7.262
Cu As S
12 4 13
Cartesian
0.000 0.000 0.000
-2.926 -1.043 5.444
-2.972 2.462 3.649
-2.450 5.111 1.862
-0.158 3.500 1.873
-2.450 5.157 5.388
-0.148 2.993 5.108
-0.153 5.973 3.936
2.923 1.021 1.822
2.964 4.145 0.016
2.933 1.031 5.451
2.983 7.258 1.819
-0.037 6.097 0.184
-0.064 0.218 3.656
2.821 -2.174 7.070
3.192 4.120 3.635
-3.566 1.164 5.365
-0.728 2.175 0.139
-3.481 7.129 1.888
-1.437 4.123 3.640
-3.514 4.167 7.120
-0.633 -1.164 5.400
2.062 3.159 1.880
-0.728 2.153 7.113
2.185 -0.167 3.650
2.069 3.142 5.382
2.090 6.143 3.649
5.211 1.176 1.904
5.250 4.171 0.137
```

---

[3]
Fe4Mo2N: theoretical powder diffraction line list (Cu Kα (weighted mean of Kα1 and Kα2)), based on a DFT-relaxed cell (PBE, the Materials Project).
Peak positions follow from Bragg's law for the DFT cell and can differ from measured ones.

The 6 most intense peaks (5° ≤ 2θ ≤ 70°), sorted by position:
2θ = 40.47°, 2.229 Å, intensity 62
2θ = 42.98°, 2.104 Å, intensity 100
2θ = 43.13°, 2.097 Å, intensity 66
2θ = 43.42°, 2.084 Å, intensity 53
2θ = 46.99°, 1.934 Å, intensity 30
2θ = 47.26°, 1.923 Å, intensity 50

Structure:
```
Fe4Mo2N
1.0
-3.867 3.867 5.410
3.867 -3.867 5.410
3.867 3.867 -5.410
Fe Mo N
16 8 4
Cartesian
3.867 -1.276 1.787
1.916 0.000 1.338
3.867 -1.951 4.072
5.819 0.000 1.338
0.000 1.256 0.878
2.359 2.359 0.000
1.509 -1.509 5.410
3.867 1.276 1.787
5.144 0.000 3.623
2.591 0.000 3.623
3.867 1.951 4.072
-1.509 1.509 5.410
1.509 1.509 5.410
-2.612 3.867 4.532
0.000 6.479 0.878
2.612 3.867 4.532
0.000 0.000 3.315
-1.534 2.333 2.705
1.534 2.333 2.705
0.000 3.867 0.572
0.000 0.000 7.505
0.000 3.867 4.838
-1.534 5.401 2.705
1.534 5.401 2.705
3.867 1.957 -1.276
1.957 3.867 1.276
1.911 0.000 6.686
0.000 1.911 4.134
```

---

[4]
PdN4Cl2O: theoretical powder diffraction line list (Cu Kα (weighted mean of Kα1 and Kα2)), based on a DFT-relaxed cell (PBE, the Materials Project).
Peak positions follow from Bragg's law for the DFT cell and can differ from measured ones.

The 6 most intense peaks (5° ≤ 2θ ≤ 70°), sorted by position:
2θ = 14.69°, 6.031 Å, intensity 72
2θ = 16.39°, 5.408 Å, intensity 66
2θ = 22.08°, 4.027 Å, intensity 93
2θ = 27.62°, 3.230 Å, intensity 100
2θ = 29.62°, 3.016 Å, intensity 69
2θ = 33.13°, 2.704 Å, intensity 61

Structure:
```
PdN4Cl2O
1.0
7.648 0.000 0.000
0.000 7.648 0.000
0.000 0.000 6.031
Pd N Cl O
2 8 4 2
Cartesian
0.000 0.000 0.000
3.824 3.824 0.000
1.296 1.738 0.000
1.738 6.353 0.000
2.086 2.529 0.000
2.529 5.563 0.000
5.120 2.086 0.000
5.563 5.120 0.000
5.910 1.296 0.000
6.353 5.910 0.000
1.510 5.334 3.016
2.314 1.510 3.016
5.334 6.138 3.016
6.138 2.314 3.016
0.000 3.824 0.000
3.824 0.000 0.000
```